The following is a calculated PXRD pattern of ZnP4W3O14. It was derived from the PBE+U geometry in the Materials Project, using Cu Ka.

The 12 most intense peaks (10° ≤ 2θ ≤ 90°), by intensity:
2θ 18.76, I 100, hkl 0 0 2; 2θ 28.16, I 90, hkl 1 2 1; 2θ 12.27, I 85, hkl 1 0 0; 2θ 16.35, I 75, hkl 1 1 0; 2θ 31.38, I 74, hkl 2 1 1; 2θ 34.04, I 61, hkl 0 3 1; 2θ 25.61, I 60, hkl 2 1 -1; 2θ 28.06, I 51, hkl 1 1 2; 2θ 18.55, I 49, hkl 1 0 -2; 2θ 27.64, I 49, hkl 2 1 -2; 2θ 43.75, I 43, hkl 0 3 3; 2θ 51.16, I 39, hkl 2 4 0

Atomic structure:
```
44
Lattice="7.6823 0.0000 0.0000 0.0000 8.2256 0.0000 -3.4708 0.0000 9.4605" Properties=species:S:1:pos:R:3 pbc="T T T"
Zn 0.0000 0.0000 0.0000
Zn -1.7354 4.1128 4.7302
P -1.6914 0.5460 6.5909
P 0.0440 3.5668 1.8607
P 2.2984 5.6927 1.9075
P 0.5630 6.6457 6.6378
P 3.6485 1.5799 2.8227
P 1.9131 2.5329 7.5529
P 4.1675 4.6588 7.5998
P 5.9029 7.6796 2.8696
W 0.7171 1.0518 4.4284
W -1.0182 3.0610 9.1587
W 3.8411 0.0000 0.0000
W 2.1057 4.1128 4.7302
W 5.2297 5.1646 0.3018
W 3.4943 7.1738 5.0320
O -2.0461 4.2939 7.7446
O -0.3107 8.0446 3.0144
O -1.1332 1.2507 5.3624
O 0.6022 2.8621 0.6321
O -1.3771 1.3306 7.8647
O 0.3583 2.7822 3.1345
O 0.8371 5.0406 1.9599
O -0.8982 7.2978 6.6901
O 0.6528 5.3068 5.9635
O 2.3882 7.0316 1.2333
O 3.1771 4.6579 1.0922
O 1.4418 7.6805 5.8225
O 3.2645 1.6749 1.3070
O 1.5291 2.4379 6.0372
O 2.6824 5.7877 3.4233
O 0.9470 6.5507 8.1535
O 2.7697 0.5451 3.6380
O 1.0344 3.5677 8.3682
O 1.8233 1.1940 8.2272
O 3.5587 2.9188 3.4969
O 5.1097 0.9278 2.7704
O 3.3744 3.1850 7.5006
O 3.8532 5.4434 6.3260
O 5.5886 6.8950 1.5957
O 3.6093 5.3635 8.8283
O 5.3446 6.9749 4.0981
O 4.5222 0.1811 6.4461
O 6.2576 3.9318 1.7159
```